For ThH2Cl2, a cell relaxed with GGA-PBE gives the computed X-ray powder pattern in this record (a wavelength of 1.5418 Å).
Peak positions follow from Bragg's law for the DFT cell and can differ from measured ones.

Principal peaks in the range 5 to 70 degrees two-theta, in order of rising 2θ:
(0 0 3), 2θ = 11.16°, I = 100
(1 0 1), 2θ = 27.23°, I = 19
(0 1 2), 2θ = 28.01°, I = 50
(1 0 4), 2θ = 30.94°, I = 21
(0 1 5), 2θ = 32.99°, I = 38
(1 0 7), 2θ = 37.96°, I = 28

Atomic structure:
```
data_ThH2Cl2
_chemical_formula_sum 'Th3 H6 Cl6'
_space_group_name_H-M_alt 'R -3 m'
_space_group_IT_number 166
_space_group_name_Hall '-R 3 2"'
_cell_length_a 3.8178
_cell_length_b 3.8178
_cell_length_c 23.7947
_cell_angle_alpha 90.00
_cell_angle_beta 90.00
_cell_angle_gamma 120.00
loop_
_atom_site_label
_atom_site_type_symbol
_atom_site_fract_x
_atom_site_fract_y
_atom_site_fract_z
_atom_site_occupancy
Th1 Th 0.0000 0.0000 0.0000 1
H1 H 0.0000 0.0000 0.3127 1
Cl1 Cl 0.0000 0.0000 0.4190 1
```